Record 1
This entry pairs a crystal structure of LiBeF3 with its simulated PXRD pattern. Radiation: a wavelength of 1.5418 Å. Structure: DFT lattice parameters and positions (GGA-PBE).
Kinematic intensities with the Lorentz-polarization factor, no thermal factor.

Most intense lines, 5 to 70 degrees two-theta, sorted by position:
Position (°2θ)  I (rel.)
27.36  855
29.96  259
31.68  258
35.93  365
38.84  1000
40.37  694
40.70  518
42.66  827
43.47  570
69.75  282

Atomic structure:
```
data_LiBeF3
_cell_length_a 9.506
_cell_length_b 8.878
_cell_length_c 5.106
_cell_angle_alpha 90.00
_cell_angle_beta 109.93
_cell_angle_gamma 90.00
_symmetry_space_group_name_H-M 'C 1 2/c 1'
_symmetry_Int_Tables_number 15
loop_
_symmetry_equiv_pos_as_xyz
'x,y,z'
'-x,-y,-z'
'-x,y,-z+1/2'
'x,-y,z+1/2'
'x+1/2,y+1/2,z'
'-x+1/2,-y+1/2,-z'
'-x+1/2,y+1/2,-z+1/2'
'x+1/2,-y+1/2,z+1/2'
loop_
_atom_site_label
_atom_site_type_symbol
_atom_site_fract_x
_atom_site_fract_y
_atom_site_fract_z
Li1 Li 0.000 0.106 0.250
Li2 Li 0.000 0.237 0.750
Be1 Be 0.201 0.413 0.240
F1 F 0.124 0.091 0.650
F2 F 0.124 0.261 0.136
F3 F 0.149 0.474 0.484
```

***

Record 2
This entry pairs a crystal structure of Li3BeF6 with its simulated PXRD pattern. Radiation: a wavelength of 1.5418 Å. Structure: DFT lattice parameters and positions (GGA-PBE).
Kinematic intensities with the Lorentz-polarization factor, no thermal factor.

Most intense lines, 5 to 70 degrees two-theta, sorted by position:
Position (°2θ)  I (rel.)
25.74  223
37.43  650
39.27  834
40.16  889
42.33  699
42.61  394
43.16  1000
52.90  231
58.88  363
60.65  273

Atomic structure:
```
data_Li3BeF6
_cell_length_a 8.994
_cell_length_b 4.990
_cell_length_c 4.807
_cell_angle_alpha 90.00
_cell_angle_beta 120.81
_cell_angle_gamma 90.00
_symmetry_space_group_name_H-M 'C 1 2/m 1'
_symmetry_Int_Tables_number 12
loop_
_symmetry_equiv_pos_as_xyz
'x,y,z'
'-x,-y,-z'
'-x,y,-z'
'x,-y,z'
'x+1/2,y+1/2,z'
'-x+1/2,-y+1/2,-z'
'-x+1/2,y+1/2,-z'
'x+1/2,-y+1/2,z'
loop_
_atom_site_label
_atom_site_type_symbol
_atom_site_fract_x
_atom_site_fract_y
_atom_site_fract_z
Li1 Li 0.000 0.000 0.000
Li2 Li 0.246 0.000 0.669
Be1 Be 0.000 0.500 0.500
F1 F 0.077 0.265 0.355
F2 F 0.231 0.500 0.915
```

***

Record 3
This entry pairs a crystal structure of NaLiBeF4 with its simulated PXRD pattern. Radiation: a wavelength of 1.5418 Å. Structure: DFT lattice parameters and positions (GGA-PBE).
Kinematic intensities with the Lorentz-polarization factor, no thermal factor.

Most intense lines, 5 to 70 degrees two-theta, sorted by position:
Position (°2θ)  I (rel.)
21.58  180
25.14  509
28.50  216
34.36  398
38.17  526
38.33  1000
38.58  182
51.51  207
51.63  450
58.64  207

Atomic structure:
```
data_NaLiBeF4
_cell_length_a 10.927
_cell_length_b 6.264
_cell_length_c 4.667
_cell_angle_alpha 90.00
_cell_angle_beta 90.00
_cell_angle_gamma 90.00
_symmetry_space_group_name_H-M 'P n m a'
_symmetry_Int_Tables_number 62
loop_
_symmetry_equiv_pos_as_xyz
'x,y,z'
'-x,-y,-z'
'-x+1/2,-y,z+1/2'
'x+1/2,y,-z+1/2'
'x+1/2,-y+1/2,-z+1/2'
'-x+1/2,y+1/2,z+1/2'
'-x,y+1/2,-z'
'x,-y+1/2,z'
loop_
_atom_site_label
_atom_site_type_symbol
_atom_site_fract_x
_atom_site_fract_y
_atom_site_fract_z
Na1 Na 0.225 0.250 0.031
Li1 Li 0.000 0.000 0.500
Be1 Be 0.080 0.750 0.100
F1 F 0.051 0.250 0.752
F2 F 0.077 0.750 0.769
F3 F 0.145 0.548 0.230
```